Diffraction record for AcErB12. The XRD peak list is calculated, not measured: it uses DFT lattice parameters and positions (GGA-PBE) and Cu Kα (λ = 1.5418 Å).
No peak broadening, texture or thermal motion is included.

abc: 4.148 4.148 8.288
angles: 90.00 90.00 90.00
Element x y z (fractional)
Ac 0.000 0.000 0.000
Er 0.000 0.000 0.500
B 0.200 0.500 0.255
B 0.200 0.500 0.745
B 0.500 0.200 0.255
B 0.500 0.200 0.745
B 0.500 0.500 0.102
B 0.500 0.500 0.402
B 0.500 0.500 0.598
B 0.500 0.500 0.898
B 0.500 0.800 0.255
B 0.500 0.800 0.745
B 0.800 0.500 0.255
B 0.800 0.500 0.745

Main lines, most intense first (10° ≤ 2θ ≤ 80°):
(1 1 0), 2θ 30.49, I 100.0
(1 0 0), 2θ 21.43, I 75.8
(2 1 0), 2θ 49.13, I 51.7
(1 1 2), 2θ 37.57, I 41.6
(2 1 2), 2θ 54.18, I 31.1
(2 2 2), 2θ 67.80, I 28.2